Theoretical X-ray diffraction stick pattern
Compound: Sm2Ga4Ir3Ru
Radiation: Cu Kα (weighted mean of Kα1 and Kα2)
Structure: a crystal structure in Alexandria, relaxed with PBE
Peak positions follow from Bragg's law for the DFT cell and can differ from measured ones.

Crystal structure
```
data_Sm2Ga4Ir3Ru
_chemical_formula_sum 'Sm2 Ga4 Ir3 Ru1'
_space_group_name_H-M_alt 'P -4 m 2'
_space_group_IT_number 115
_cell_length_a 4.3581
_cell_length_b 4.3581
_cell_length_c 9.8962
_cell_angle_alpha 90.00
_cell_angle_beta 90.00
_cell_angle_gamma 90.00
loop_
_space_group_symop_operation_xyz
'x,y,z'
'y,-x,-z'
'-x,-y,z'
'-y,x,-z'
'-x,y,z'
'-y,-x,-z'
'x,-y,z'
'y,x,-z'
loop_
_atom_site_label
_atom_site_type_symbol
_atom_site_fract_x
_atom_site_fract_y
_atom_site_fract_z
Sm1 Sm 0.0000 0.5000 0.2299
Ga1 Ga 0.0000 0.0000 0.5000
Ga2 Ga 0.0000 0.5000 0.8766
Ga3 Ga 0.5000 0.5000 0.5000
Ir1 Ir 0.0000 0.0000 0.0000
Ir2 Ir 0.0000 0.5000 0.6275
Ru1 Ru 0.5000 0.5000 0.0000
```

Main lines, in order of falling intensity (5° ≤ 2θ ≤ 70°):
2θ 34.3, rel. 100, (1 1 2); 2θ 41.4, rel. 87, (2 0 0); 2θ 34.1, rel. 78, (1 0 3); 2θ 54.7, rel. 40, (2 1 3); 2θ 47.1, rel. 37, (1 1 4); 2θ 27.3, rel. 33, (1 0 2); 2θ 60.0, rel. 29, (2 2 0); 2θ 50.7, rel. 25, (1 0 5); 2θ 29.0, rel. 21, (1 1 0); 2θ 67.4, rel. 21, (2 1 5); 2θ 30.4, rel. 18, (1 1 1); 2θ 50.3, rel. 13, (2 1 2)


Theoretical X-ray diffraction stick pattern
Compound: Pr3CdCo3
Radiation: Cu Kα (weighted mean of Kα1 and Kα2)
Structure: a crystal structure in Alexandria, relaxed with PBE
Peak positions follow from Bragg's law for the DFT cell and can differ from measured ones.

Crystal structure
```
data_Pr3CdCo3
_chemical_formula_sum 'Pr6 Cd2 Co6'
_space_group_name_H-M_alt 'P 63/m'
_space_group_IT_number 176
_space_group_name_Hall '-P 6c'
_cell_length_a 10.0664
_cell_length_b 10.0664
_cell_length_c 3.8488
_cell_angle_alpha 90.00
_cell_angle_beta 90.00
_cell_angle_gamma 120.00
loop_
_atom_site_label
_atom_site_type_symbol
_atom_site_fract_x
_atom_site_fract_y
_atom_site_fract_z
Pr1 Pr 0.0627 0.3744 0.2500
Cd1 Cd 0.3333 0.6667 0.7500
Co1 Co 0.0235 0.1526 0.7500
```

Main lines, in order of falling intensity (5° ≤ 2θ ≤ 70°):
2θ 29.2, rel. 100, (1 1 1); 2θ 35.9, rel. 62, (2 1 1); 2θ 30.8, rel. 62, (3 0 0); 2θ 27.1, rel. 57, (2 1 0); 2θ 31.0, rel. 49, (2 0 1); 2θ 42.9, rel. 45, (2 2 1); 2θ 51.5, rel. 45, (2 3 1); 2θ 37.2, rel. 28, (3 1 0); 2θ 10.1, rel. 28, (1 0 0); 2θ 47.2, rel. 27, (0 0 2); 2θ 44.2, rel. 25, (3 1 1); 2θ 64.2, rel. 21, (5 1 1)


Theoretical X-ray diffraction stick pattern
Compound: NdP2Rh4
Radiation: Cu Kα (weighted mean of Kα1 and Kα2)
Structure: a crystal structure in Alexandria, relaxed with PBE
Peak positions follow from Bragg's law for the DFT cell and can differ from measured ones.

Crystal structure
```
data_NdP2Rh4
_chemical_formula_sum 'Nd2 P4 Rh8'
_space_group_name_H-M_alt 'P 42/m n m'
_space_group_IT_number 136
_space_group_name_Hall '-P 4n 2n'
_cell_length_a 7.6838
_cell_length_b 7.6838
_cell_length_c 3.7234
_cell_angle_alpha 90.00
_cell_angle_beta 90.00
_cell_angle_gamma 90.00
loop_
_atom_site_label
_atom_site_type_symbol
_atom_site_fract_x
_atom_site_fract_y
_atom_site_fract_z
Nd1 Nd 0.0000 0.0000 0.0000
P1 P 0.2299 0.2299 0.5000
Rh1 Rh 0.0755 0.6731 0.5000
```

Main lines, in order of falling intensity (5° ≤ 2θ ≤ 70°):
2θ 35.6, rel. 100, (2 1 1); 2θ 37.0, rel. 44, (3 1 0); 2θ 48.9, rel. 37, (0 0 2); 2θ 44.5, rel. 27, (3 1 1); 2θ 41.1, rel. 27, (2 2 1); 2θ 65.7, rel. 23, (5 0 1); 2θ 62.9, rel. 18, (3 1 2); 2θ 29.1, rel. 10, (1 1 1); 2θ 42.4, rel. 10, (3 2 0); 2θ 55.1, rel. 8, (4 1 1); 2θ 65.4, rel. 6, (5 2 0); 2θ 23.2, rel. 5, (2 0 0)


Theoretical X-ray diffraction stick pattern
Compound: Ba2FeCl6
Radiation: Cu Kα (weighted mean of Kα1 and Kα2)
Structure: a crystal structure in Alexandria, relaxed with PBE
Peak positions follow from Bragg's law for the DFT cell and can differ from measured ones.

Crystal structure
```
data_Ba2FeCl6
_chemical_formula_sum 'Ba4 Fe2 Cl12'
_space_group_name_H-M_alt 'P 1 21/c 1'
_space_group_IT_number 14
_cell_length_a 6.7922
_cell_length_b 8.0219
_cell_length_c 11.5919
_cell_angle_alpha 90.00
_cell_angle_beta 124.25
_cell_angle_gamma 90.00
loop_
_space_group_symop_operation_xyz
'x,y,z'
'-x,-y,-z'
'-x,y+1/2,-z+1/2'
'x,-y+1/2,z+1/2'
loop_
_atom_site_label
_atom_site_type_symbol
_atom_site_fract_x
_atom_site_fract_y
_atom_site_fract_z
Ba1 Ba 0.2165 0.1064 0.2570
Fe1 Fe 0.5000 0.0000 0.0000
Cl1 Cl 0.1441 0.1581 0.9542
Cl2 Cl 0.2939 0.7120 0.9482
Cl3 Cl 0.3518 0.0213 0.7558
```

Main lines, in order of falling intensity (5° ≤ 2θ ≤ 70°):
2θ 24.1, rel. 100, (0 2 1); 2θ 36.1, rel. 99, (1 3 -1); 2θ 19.3, rel. 87, (1 1 0); 2θ 19.6, rel. 81, (1 1 -2); 2θ 35.9, rel. 81, (0 2 3); 2θ 37.2, rel. 75, (1 3 0); 2θ 37.5, rel. 70, (0 0 4); 2θ 16.2, rel. 70, (1 0 -2); 2θ 25.6, rel. 67, (1 1 -3); 2θ 25.0, rel. 65, (1 1 1); 2θ 29.8, rel. 62, (2 1 -1); 2θ 35.7, rel. 55, (2 2 -1)


Theoretical X-ray diffraction stick pattern
Compound: Pr4GaHgAu2
Radiation: Cu Kα (weighted mean of Kα1 and Kα2)
Structure: a crystal structure in Alexandria, relaxed with PBE
Peak positions follow from Bragg's law for the DFT cell and can differ from measured ones.

Crystal structure
```
data_Pr4GaHgAu2
_chemical_formula_sum 'Pr12 Ga3 Hg3 Au6'
_space_group_name_H-M_alt 'R -3 m'
_space_group_IT_number 166
_space_group_name_Hall '-R 3 2"'
_cell_length_a 5.3336
_cell_length_b 5.3336
_cell_length_c 26.2615
_cell_angle_alpha 90.00
_cell_angle_beta 90.00
_cell_angle_gamma 120.00
loop_
_atom_site_label
_atom_site_type_symbol
_atom_site_fract_x
_atom_site_fract_y
_atom_site_fract_z
Pr1 Pr 0.0000 0.0000 0.1213
Pr2 Pr 0.0000 0.0000 0.3716
Ga1 Ga 0.0000 0.0000 0.0000
Hg1 Hg 0.0000 0.0000 0.5000
Au1 Au 0.0000 0.0000 0.2455
```

Main lines, in order of falling intensity (5° ≤ 2θ ≤ 70°):
2θ 33.6, rel. 100, (1 1 0); 2θ 33.5, rel. 98, (0 1 8); 2θ 60.0, rel. 56, (3 0 0); 2θ 48.2, rel. 36, (2 0 8); 2θ 59.8, rel. 17, (1 0 16); 2θ 30.7, rel. 6, (1 0 7); 2θ 10.1, rel. 6, (0 0 3); 2θ 63.6, rel. 4, (1 1 15); 2θ 20.4, rel. 4, (0 1 2); 2θ 19.5, rel. 3, (1 0 1); 2θ 46.2, rel. 2, (0 2 7); 2θ 35.2, rel. 2, (1 1 3)